1.
Calculated X-ray diffraction stick pattern
Compound: TbTm4Mg7
Radiation: Cu Ka
Structure: the PBE geometry in Alexandria
Neutral-atom scattering factors, no anomalous dispersion.

Top 10 peaks for 10 to 90 degrees two-theta, low angle first:
two_theta  intensity
20.6  87
28.3  52
33.7  100
34.0  97
40.1  16
48.6  41
60.0  17
60.6  52
60.8  18
81.5  23

Atomic structure:
Cell: 5.275 5.275 13.098 Å, 90.00 90.00 120.00°
Positions (direct):
Tb1 0.000 0.000 0.000
Tm1 0.333 0.667 0.163
Tm2 0.333 0.667 0.424
Tm3 0.667 0.333 0.576
Tm4 0.667 0.333 0.837
Mg1 0.000 0.000 0.263
Mg2 0.000 0.000 0.500
Mg3 0.000 0.000 0.737
Mg4 0.333 0.667 0.681
Mg5 0.333 0.667 0.918
Mg6 0.667 0.333 0.082
Mg7 0.667 0.333 0.319

***

2.
Calculated X-ray diffraction stick pattern
Compound: PrAl4Au2
Radiation: Cu Ka
Structure: the PBE geometry in Alexandria
Neutral-atom scattering factors, no anomalous dispersion.

Top 10 peaks for 10 to 90 degrees two-theta, low angle first:
two_theta  intensity
23.9  35
27.8  77
28.4  43
28.7  55
34.5  100
35.2  54
38.3  40
40.8  51
45.6  62
50.1  32

Atomic structure:
Cell: 17.517 4.421 6.907 Å, 90.00 90.00 90.00°
Positions (direct):
Pr1 0.140 0.250 0.007
Pr2 0.360 0.750 0.507
Pr3 0.640 0.250 0.493
Pr4 0.860 0.750 0.993
Al1 0.035 0.750 0.846
Al2 0.067 0.250 0.478
Al3 0.184 0.750 0.321
Al4 0.189 0.750 0.721
Al5 0.311 0.250 0.221
Al6 0.316 0.250 0.821
Al7 0.433 0.750 0.978
Al8 0.465 0.250 0.346
Al9 0.535 0.750 0.654
Al10 0.567 0.250 0.022
Al11 0.684 0.750 0.179
Al12 0.689 0.750 0.779
Al13 0.811 0.250 0.279
Al14 0.816 0.250 0.679
Al15 0.933 0.750 0.522
Al16 0.965 0.250 0.154
Au1 0.036 0.750 0.250
Au2 0.216 0.250 0.524
Au3 0.284 0.750 0.024
Au4 0.464 0.250 0.750
Au5 0.536 0.750 0.250
Au6 0.716 0.250 0.976
Au7 0.784 0.750 0.476
Au8 0.964 0.250 0.750

***

3.
Calculated X-ray diffraction stick pattern
Compound: Pr3SiSe2N3
Radiation: Cu Ka
Structure: the PBE geometry in Alexandria
Neutral-atom scattering factors, no anomalous dispersion.

Top 10 peaks for 10 to 90 degrees two-theta, low angle first:
two_theta  intensity
24.9  29
25.6  28
28.9  100
31.5  38
36.5  24
39.0  23
41.1  28
41.5  14
61.8  14
64.9  13

Atomic structure:
Cell: 11.601 11.601 11.601 Å, 111.14 111.14 111.14°
Positions (direct):
Pr1 0.038 0.551 0.822
Pr2 0.038 0.877 0.755
Pr3 0.123 0.245 0.962
Pr4 0.178 0.962 0.449
Pr5 0.245 0.962 0.123
Pr6 0.300 0.389 0.677
Pr7 0.323 0.700 0.611
Pr8 0.389 0.677 0.300
Pr9 0.449 0.178 0.962
Pr10 0.551 0.822 0.038
Pr11 0.611 0.323 0.700
Pr12 0.677 0.300 0.389
Pr13 0.700 0.611 0.323
Pr14 0.755 0.038 0.877
Pr15 0.822 0.038 0.551
Pr16 0.877 0.755 0.038
Pr17 0.962 0.123 0.245
Pr18 0.962 0.449 0.178
Si1 0.206 0.387 0.288
Si2 0.288 0.206 0.387
Si3 0.387 0.288 0.206
Si4 0.613 0.712 0.794
Si5 0.712 0.794 0.613
Si6 0.794 0.613 0.712
Se1 0.009 0.676 0.461
Se2 0.126 0.706 0.166
Se3 0.166 0.126 0.706
Se4 0.294 0.834 0.874
Se5 0.324 0.539 0.991
Se6 0.461 0.009 0.676
Se7 0.539 0.991 0.324
Se8 0.676 0.461 0.009
Se9 0.706 0.166 0.126
Se10 0.834 0.874 0.294
Se11 0.874 0.294 0.834
Se12 0.991 0.324 0.539
N1 0.019 0.251 0.123
N2 0.123 0.019 0.251
N3 0.218 0.554 0.356
N4 0.231 0.329 0.409
N5 0.251 0.123 0.019
N6 0.329 0.409 0.231
N7 0.356 0.218 0.554
N8 0.409 0.231 0.329
N9 0.446 0.644 0.782
N10 0.554 0.356 0.218
N11 0.591 0.769 0.671
N12 0.644 0.782 0.446
N13 0.671 0.591 0.769
N14 0.749 0.877 0.981
N15 0.769 0.671 0.591
N16 0.782 0.446 0.644
N17 0.877 0.981 0.749
N18 0.981 0.749 0.877

***

4.
Calculated X-ray diffraction stick pattern
Compound: Li3ThC4O12
Radiation: Cu Ka
Structure: the PBE geometry in Alexandria
Neutral-atom scattering factors, no anomalous dispersion.

Top 10 peaks for 10 to 90 degrees two-theta, low angle first:
two_theta  intensity
15.3  100
18.5  61
24.1  16
24.4  37
30.5  35
30.8  45
32.3  18
36.2  34
38.2  25
40.7  30

Atomic structure:
Cell: 6.166 6.166 6.166 Å, 102.18 102.18 102.18°
Positions (direct):
Li1 0.000 0.553 0.447
Li2 0.447 0.000 0.553
Li3 0.553 0.447 0.000
Th1 0.000 0.000 0.000
C1 0.048 0.500 0.952
C2 0.500 0.500 0.500
C3 0.500 0.952 0.048
C4 0.952 0.048 0.500
O1 0.045 0.634 0.814
O2 0.085 0.915 0.500
O3 0.186 0.366 0.955
O4 0.366 0.955 0.186
O5 0.367 0.633 0.500
O6 0.500 0.085 0.915
O7 0.500 0.367 0.633
O8 0.633 0.500 0.367
O9 0.634 0.814 0.045
O10 0.814 0.045 0.634
O11 0.915 0.500 0.085
O12 0.955 0.186 0.366

***

5.
Calculated X-ray diffraction stick pattern
Compound: SrCeSm2Se4
Radiation: Cu Ka
Structure: the PBE geometry in Alexandria
Neutral-atom scattering factors, no anomalous dispersion.

Top 10 peaks for 10 to 90 degrees two-theta, low angle first:
two_theta  intensity
29.8  100
42.4  13
42.6  25
42.7  25
42.9  12
53.1  13
61.9  12
70.1  11
70.3  11
78.4  8

Atomic structure:
Cell: 7.343 4.218 7.372 Å, 90.00 109.19 90.00°
Positions (direct):
Sr1 0.000 0.000 0.000
Ce1 0.000 0.500 0.500
Sm1 0.500 0.000 0.500
Sm2 0.500 0.500 0.000
Se1 0.255 0.000 0.749
Se2 0.258 0.500 0.256
Se3 0.742 0.500 0.744
Se4 0.745 0.000 0.251

***

6.
Calculated X-ray diffraction stick pattern
Compound: La5Ge2Cl2
Radiation: Cu Ka
Structure: the PBE geometry in Alexandria
Neutral-atom scattering factors, no anomalous dispersion.

Top 10 peaks for 10 to 90 degrees two-theta, low angle first:
two_theta  intensity
11.6  27
23.4  30
24.6  31
30.2  100
32.2  38
34.2  82
35.4  75
35.5  59
38.6  23
66.6  23

Atomic structure:
Cell: 8.624 8.624 8.142 Å, 90.00 90.00 55.99°
Positions (direct):
La1 0.000 0.000 0.000
La2 0.026 0.704 0.653
La3 0.204 0.526 0.153
La4 0.296 0.974 0.653
La5 0.474 0.796 0.153
La6 0.500 0.500 0.500
La7 0.526 0.204 0.847
La8 0.704 0.026 0.347
La9 0.796 0.474 0.847
La10 0.974 0.296 0.347
Ge1 0.143 0.857 0.357
Ge2 0.357 0.643 0.857
Ge3 0.643 0.357 0.143
Ge4 0.857 0.143 0.643
Cl1 0.192 0.192 0.000
Cl2 0.308 0.308 0.500
Cl3 0.692 0.692 0.500
Cl4 0.808 0.808 0.000